[1]
Simulated X-ray powder pattern
Compound: Y2HoHgN
Radiation: Cu Ka
Structure: a crystal structure in Alexandria, relaxed with PBE
Intensities are scaled so that the largest is 100.

Top 10 peaks for 5 to 70 degrees two-theta, by angle:
- 2θ 18.57, I 8.6, (0 0 1)
- 2θ 26.21, I 12.9, (1 1 0)
- 2θ 32.31, I 100.0, (1 1 1)
- 2θ 37.38, I 37.3, (2 0 0)
- 2θ 37.66, I 18.3, (0 0 2)
- 2θ 53.90, I 12.8, (2 2 0)
- 2θ 54.11, I 25.4, (2 0 2)
- 2θ 64.26, I 27.9, (3 1 1)
- 2θ 64.62, I 13.7, (1 1 3)
- 2θ 67.61, I 12.9, (2 2 2)

Crystal structure
Lattice parameters (Å, degrees): 4.811 4.811 4.777 90.00 90.00 90.00
Fractional positions:
Y  0.000  0.500  0.000
Y  0.500  0.000  0.000
Ho  0.000  0.000  0.500
Hg  0.500  0.500  0.500
N  0.000  0.000  0.000

---

[2]
Simulated X-ray powder pattern
Compound: Na2HoHg6
Radiation: Cu Ka
Structure: a crystal structure in Alexandria, relaxed with PBE
Intensities are scaled so that the largest is 100.

Top 10 peaks for 5 to 70 degrees two-theta, by angle:
- 2θ 11.65, I 12.1, (1 0 0)
- 2θ 20.26, I 29.4, (1 1 0)
- 2θ 26.77, I 33.4, (0 0 1)
- 2θ 33.80, I 75.1, (1 1 1)
- 2θ 35.47, I 100.0, (3 0 0)
- 2θ 44.98, I 51.4, (3 0 1)
- 2θ 49.80, I 25.5, (2 2 1)
- 2θ 62.62, I 25.7, (4 1 1)
- 2θ 63.68, I 18.6, (3 3 0)
- 2θ 67.30, I 31.6, (3 0 2)

Crystal structure
Lattice parameters (Å, degrees): 8.768 8.768 3.331 90.00 90.00 120.00
Fractional positions:
Na  0.333  0.667  0.000
Na  0.667  0.333  0.000
Ho  0.000  0.000  0.000
Hg  0.000  0.335  0.500
Hg  0.000  0.665  0.500
Hg  0.335  0.000  0.500
Hg  0.335  0.335  0.500
Hg  0.665  0.000  0.500
Hg  0.665  0.665  0.500

---

[3]
Simulated X-ray powder pattern
Compound: Na2HoHg5
Radiation: Cu Ka
Structure: a crystal structure in Alexandria, relaxed with PBE
Intensities are scaled so that the largest is 100.

Top 10 peaks for 5 to 70 degrees two-theta, by angle:
- 2θ 9.79, I 26.7, (0 0 2)
- 2θ 19.66, I 9.6, (0 0 4)
- 2θ 28.82, I 10.3, (1 1 2)
- 2θ 33.65, I 100.0, (1 1 4)
- 2θ 38.61, I 34.6, (2 0 0)
- 2θ 39.93, I 19.9, (0 0 8)
- 2θ 55.75, I 12.0, (2 2 0)
- 2θ 56.76, I 24.3, (2 0 8)
- 2θ 66.72, I 28.2, (3 1 4)
- 2θ 68.53, I 13.0, (1 1 12)

Crystal structure
Lattice parameters (Å, degrees): 4.664 4.664 18.061 90.00 90.00 90.00
Fractional positions:
Na  0.000  0.000  0.250
Na  0.000  0.000  0.750
Na  0.500  0.500  0.250
Na  0.500  0.500  0.750
Ho  0.000  0.000  0.000
Ho  0.500  0.500  0.500
Hg  0.000  0.000  0.500
Hg  0.000  0.500  0.126
Hg  0.000  0.500  0.374
Hg  0.000  0.500  0.626
Hg  0.000  0.500  0.874
Hg  0.500  0.000  0.126
Hg  0.500  0.000  0.374
Hg  0.500  0.000  0.626
Hg  0.500  0.000  0.874
Hg  0.500  0.500  0.000